Entry 1:
Structure and computed PXRD pattern of RbNa3Ag2P2 (DFT lattice parameters and positions (PBE); Cu Kα, 1.54184 Å).

Cell and atoms:
abc: 5.8045 5.7440 5.9988
angles: 90.00 102.40 90.00
Space group Pm (No. 6)
Symmetry-distinct sites (fractional):
1 Rb 0.0000 0.0000 0.0000
2 Na 0.0762 0.5000 0.3777
3 Na 0.3525 0.0000 0.6503
4 Na 0.7071 0.5000 0.7021
5 Ag 0.5371 0.2537 0.1824
6 P 0.2776 0.5000 0.8968
7 P 0.7805 0.0000 0.4668

Largest 10 diffraction maxima, in order of falling intensity, 2θ = 10–90°:
2θ (°)  d (Å)  intensity
15.1  5.859  100
35.0  2.563  75
19.3  4.597  52
32.0  2.798  44
39.7  2.268  41
15.6  5.669  40
34.8  2.579  36
36.9  2.436  35
31.2  2.866  34
37.5  2.401  29

=====

Entry 2:
Structure and computed PXRD pattern of Ho2ErCu4Ge4 (DFT lattice parameters and positions (PBE); Cu Kα, 1.54184 Å).

Cell and atoms:
abc: 4.1809 6.6360 13.8768
angles: 90.00 90.00 90.00
Space group Immm (No. 71)
Symmetry-distinct sites (fractional):
1 Ho 0.0000 0.0000 0.1300
2 Er 0.0000 0.5000 0.0000
3 Cu 0.0000 0.1906 0.3309
4 Ge 0.0000 0.3079 0.5000
5 Ge 0.0000 0.5000 0.2163

Largest 10 diffraction maxima, in order of falling intensity, 2θ = 10–90°:
2θ (°)  d (Å)  intensity
35.1  2.556  100
36.3  2.477  83
43.3  2.090  31
45.5  1.996  23
38.9  2.313  16
64.6  1.443  16
47.9  1.898  12
80.9  1.188  12
56.9  1.619  12
58.6  1.576  11

=====

Entry 3:
Structure and computed PXRD pattern of Nd2CuNiSn4 (DFT lattice parameters and positions (PBE); Cu Kα, 1.54184 Å).

Cell and atoms:
abc: 4.5539 4.4289 18.6518
angles: 90.00 90.00 90.00
Space group Amm2 (No. 38)
Symmetry-distinct sites (fractional):
1 Nd 0.0000 0.0000 0.0000
2 Nd 0.5000 0.0000 0.2147
3 Cu 0.0000 0.0000 0.7797
4 Ni 0.5000 0.0000 0.4232
5 Sn 0.0000 0.0000 0.3586
6 Sn 0.0000 0.0000 0.6461
7 Sn 0.5000 0.0000 0.5558
8 Sn 0.5000 0.0000 0.8561

Largest 10 diffraction maxima, in order of falling intensity, 2θ = 10–90°:
2θ (°)  d (Å)  intensity
31.6  2.828  100
39.6  2.277  26
40.7  2.214  25
34.9  2.567  23
31.4  2.853  22
58.1  1.587  17
54.7  1.677  13
66.9  1.399  13
68.5  1.370  11
48.5  1.877  11

=====

Entry 4:
Structure and computed PXRD pattern of Au (DFT lattice parameters and positions (PBE); Cu Kα, 1.54184 Å).

Cell and atoms:
abc: 9.0012 4.0096 29.8702
angles: 90.00 90.19 90.00
Space group Cm (No. 8)
Symmetry-distinct sites (fractional):
1 Au 0.0000 0.0000 0.0000
2 Au 0.0010 0.0000 0.6676
3 Au 0.0043 0.5000 0.1596
4 Au 0.0961 0.5000 0.7349
5 Au 0.1000 0.0000 0.9005
6 Au 0.1012 0.5000 0.0653
7 Au 0.1946 0.5000 0.6319
8 Au 0.1979 0.0000 0.8013
9 Au 0.2004 0.5000 0.9665
10 Au 0.2023 0.0000 0.1364
11 Au 0.2961 0.0000 0.7029
12 Au 0.2997 0.5000 0.8670
13 Au 0.3014 0.0000 0.0333
14 Au 0.3926 0.0000 0.6090
15 Au 0.3958 0.5000 0.1010
16 Au 0.3978 0.5000 0.7679
17 Au 0.4002 0.0000 0.9334
18 Au 0.4988 0.0000 0.8343

Largest 10 diffraction maxima, in order of falling intensity, 2θ = 10–90°:
2θ (°)  d (Å)  intensity
36.5  2.461  100
38.6  2.334  90
38.9  2.318  38
41.5  2.175  35
44.1  2.053  30
65.0  1.435  29
45.2  2.005  28
38.0  2.371  25
34.3  2.616  25
39.4  2.285  21